# SrGa2TeO8
Calculated powder XRD pattern, Cu Kα (weighted mean of Kα1 and Kα2). Input: DFT lattice parameters and positions (PBE).
Peak positions follow from Bragg's law for the DFT cell and can differ from measured ones.

Structural model:
Unit cell a=6.8849 b=6.8849 c=6.7137 alpha=90.00 beta=90.00 gamma=90.00
Space group I-4m2 (No. 119)
Inequivalent atoms, fractional coordinates:
Sr1 0.0000 0.0000 0.0000 (multiplicity 2)
Ga1 0.0000 0.0000 0.5000 (multiplicity 2)
Ga2 0.0000 0.5000 0.2500 (multiplicity 2)
Te1 0.0000 0.5000 0.7500 (multiplicity 2)
O1 0.0000 0.2075 0.6886 (multiplicity 8)
O2 0.0000 0.3415 0.0305 (multiplicity 8)

Peak list (10 most intense, 2θ = 15–90°, sorted by position)
d = 4.807 Å, 2θ 18.46, I 13, hkl 1 0 1; d = 3.442 Å, 2θ 25.88, I 100, hkl 2 0 0; d = 2.764 Å, 2θ 32.40, I 73, hkl 1 1 2; d = 2.434 Å, 2θ 36.93, I 20, hkl 2 2 0; d = 1.827 Å, 2θ 49.93, I 64, hkl 3 1 2; d = 1.721 Å, 2θ 53.22, I 15, hkl 4 0 0; d = 1.540 Å, 2θ 60.10, I 13, hkl 4 2 0; d = 1.509 Å, 2θ 61.46, I 16, hkl 2 0 4; d = 1.461 Å, 2θ 63.69, I 20, hkl 3 3 2; d = 1.253 Å, 2θ 75.96, I 13, hkl 5 1 2